Entry 1:
TmHfAl4Ni2: theoretical PXRD pattern (Cu Kα (λ = 1.5418 Å)), based on a cell relaxed with PBE.
Peak positions follow from Bragg's law for the DFT cell and can differ from measured ones.

Principal peaks in the range 2θ = 5–70°, low angle first:
(hkl)	Position (°2θ)	intensity
1 0 2	22.80	24.9
0 1 1	23.75	68.4
2 0 0	26.83	49.4
2 1 1	36.14	96.9
1 1 3	38.19	100.0
1 0 4	39.80	50.7
0 2 0	44.58	28.5
4 0 0	55.23	38.3
3 0 4	56.42	17.3
1 2 4	61.27	28.2

Cell and atoms:
a b c (Å): 6.645 4.065 9.637
angles (deg): 90.00 90.00 90.00
Space group Amm2 (No. 38)
Symmetry-distinct sites (fractional):
Tm 0.000 0.000 0.000 [2 per cell]
Hf 0.500 0.000 0.134 [2 per cell]
Al 0.204 0.000 0.711 [4 per cell]
Al 0.306 0.000 0.421 [4 per cell]
Ni 0.000 0.000 0.280 [2 per cell]
Ni 0.500 0.000 0.859 [2 per cell]


Entry 2:
GdSiHO4: theoretical PXRD pattern (Cu Kα (λ = 1.5418 Å)), based on a cell relaxed with PBE.
Peak positions follow from Bragg's law for the DFT cell and can differ from measured ones.

Principal peaks in the range 2θ = 5–70°, low angle first:
(hkl)	Position (°2θ)	intensity
1 1 0	12.08	81.4
3 -1 1	21.40	100.0
0 1 2	22.55	26.6
4 -3 1	27.53	40.0
3 -2 2	28.45	34.8
4 1 0	32.34	67.6
3 2 1	32.60	41.2
1 1 3	34.67	32.8
0 4 2	35.63	21.7
1 4 3	46.40	30.6

Cell and atoms:
a b c (Å): 14.6509 14.6509 8.2973
angles (deg): 90.00 90.00 120.00
Space group R3 (No. 146, hexagonal axes)
Symmetry-distinct sites (fractional):
Gd 0.0066 0.2306 0.0000 [9 per cell]
Gd 0.0539 0.7976 0.5553 [9 per cell]
Si 0.1328 0.6747 0.8282 [9 per cell]
Si 0.1396 0.4228 0.3101 [9 per cell]
H 0.0502 0.8015 0.9053 [9 per cell]
H 0.1835 0.0723 0.3883 [9 per cell]
O 0.0033 0.3742 0.8863 [9 per cell]
O 0.0397 0.7052 0.7949 [9 per cell]
O 0.0556 0.8535 0.9912 [9 per cell]
O 0.0696 0.2376 0.7136 [9 per cell]
O 0.0752 0.8446 0.3038 [9 per cell]
O 0.1841 0.0882 0.5085 [9 per cell]
O 0.1928 0.4031 0.4700 [9 per cell]
O 0.2008 0.0878 0.1873 [9 per cell]


Entry 3:
Tb5Bi3: theoretical PXRD pattern (Cu Kα (λ = 1.5418 Å)), based on a cell relaxed with PBE.
Peak positions follow from Bragg's law for the DFT cell and can differ from measured ones.

Principal peaks in the range 2θ = 5–70°, low angle first:
(hkl)	Position (°2θ)	intensity
2 2 1	29.49	58.5
1 2 3	31.00	100.0
1 0 4	31.58	49.8
2 2 2	32.23	72.8
3 0 1	33.30	23.3
3 1 1	34.63	17.0
0 2 4	35.19	20.5
0 4 0	37.63	39.4
3 2 2	40.60	24.2
4 4 1	59.60	33.8

Cell and atoms:
a b c (Å): 8.280 9.562 12.058
angles (deg): 90.00 90.00 90.00
Space group Pnma (No. 62)
Symmetry-distinct sites (fractional):
Tb 0.025 0.250 0.012 [4 per cell]
Tb 0.148 0.750 0.286 [4 per cell]
Tb 0.187 0.250 0.280 [4 per cell]
Tb 0.194 0.062 0.557 [8 per cell]
Bi 0.064 0.005 0.825 [8 per cell]
Bi 0.091 0.750 0.543 [4 per cell]


Entry 4:
Tm3Lu5Te: theoretical PXRD pattern (Cu Kα (λ = 1.5418 Å)), based on a cell relaxed with PBE.
Peak positions follow from Bragg's law for the DFT cell and can differ from measured ones.

Principal peaks in the range 2θ = 5–70°, low angle first:
(hkl)	Position (°2θ)	intensity
2 1 0	30.22	39.0
1 1 1	31.25	100.0
2 0 1	33.34	55.5
3 0 0	34.39	78.6
2 1 1	38.99	26.1
2 2 1	47.15	13.7
0 0 2	49.26	15.7
3 2 1	57.03	36.9
3 0 2	61.46	29.7
5 0 1	64.68	13.8

Cell and atoms:
a b c (Å): 9.0336 9.0336 3.6995
angles (deg): 90.00 90.00 120.00
Space group P-62m (No. 189)
Symmetry-distinct sites (fractional):
Tm 0.0000 0.6140 0.0000 [3 per cell]
Lu 0.0000 0.2772 0.5000 [3 per cell]
Lu 0.3333 0.6667 0.5000 [2 per cell]
Te 0.0000 0.0000 0.0000 [1 per cell]


Entry 5:
TaPbO3: theoretical PXRD pattern (Cu Kα (λ = 1.5418 Å)), based on a cell relaxed with PBE.
Peak positions follow from Bragg's law for the DFT cell and can differ from measured ones.

Principal peaks in the range 2θ = 5–70°, low angle first:
(hkl)	Position (°2θ)	intensity
1 1 1	25.18	13.8
1 1 2	29.66	100.0
2 0 0	33.49	23.5
2 0 1	34.72	13.3
0 0 4	36.07	21.5
2 0 4	50.07	22.4
3 1 1	55.05	14.4
1 3 2	57.53	11.8
1 1 6	61.00	13.3
2 2 4	61.55	16.2

Cell and atoms:
a b c (Å): 5.351 5.351 9.951
angles (deg): 90.00 90.00 90.00
Space group P4_1 (No. 76)
Symmetry-distinct sites (fractional):
Ta 0.199 0.793 0.000 [4 per cell]
Pb 0.302 0.305 0.745 [4 per cell]
O 0.001 0.434 0.370 [4 per cell]
O 0.005 0.984 0.379 [4 per cell]
O 0.237 0.494 0.122 [4 per cell]


Entry 6:
La2CdS4: theoretical PXRD pattern (Cu Kα (λ = 1.5418 Å)), based on a cell relaxed with PBE.
Peak positions follow from Bragg's law for the DFT cell and can differ from measured ones.

Principal peaks in the range 2θ = 5–70°, low angle first:
(hkl)	Position (°2θ)	intensity
1 1 1	13.06	12.3
2 2 0	21.40	21.2
3 1 1	25.15	100.0
2 2 2	26.29	11.7
4 0 0	30.45	28.1
5 1 1	39.89	41.8
4 4 0	43.60	64.2
5 3 3	51.00	14.3
5 5 3	60.56	24.3
5 5 5	69.30	13.5

Cell and atoms:
a b c (Å): 11.743 11.743 11.743
angles (deg): 90.00 90.00 90.00
Space group Fd-3m (No. 227, origin choice 2)
Symmetry-distinct sites (fractional):
La 0.000 0.000 0.000 [16 per cell]
Cd 0.125 0.125 0.625 [8 per cell]
S 0.004 0.004 0.246 [32 per cell]


Entry 7:
KCu2BiS3: theoretical PXRD pattern (Cu Kα (λ = 1.5418 Å)), based on a cell relaxed with PBE.
Peak positions follow from Bragg's law for the DFT cell and can differ from measured ones.

Principal peaks in the range 2θ = 5–70°, low angle first:
(hkl)	Position (°2θ)	intensity
0 1 0	9.55	100.0
0 1 1	12.73	18.2
1 1 -1	18.73	15.8
2 0 0	27.53	20.2
1 0 3	28.83	21.0
1 0 -3	29.08	31.1
0 3 -1	30.19	37.3
1 -1 3	30.54	16.2
-1 1 3	30.75	25.4
0 0 4	34.12	14.2

Cell and atoms:
a b c (Å): 6.481 9.264 10.511
angles (deg): 89.86 89.41 89.08
Space group P-1 (No. 2)
Symmetry-distinct sites (fractional):
K 0.196 0.077 0.364 [2 per cell]
K 0.299 0.933 0.873 [2 per cell]
Cu 0.004 0.632 0.828 [2 per cell]
Cu 0.083 0.664 0.456 [2 per cell]
Cu 0.421 0.336 0.965 [2 per cell]
Cu 0.481 0.220 0.634 [2 per cell]
Bi 0.030 0.685 0.148 [2 per cell]
Bi 0.465 0.541 0.652 [2 per cell]
S 0.130 0.433 0.362 [2 per cell]
S 0.136 0.182 0.657 [2 per cell]
S 0.159 0.198 0.054 [2 per cell]
S 0.336 0.571 0.886 [2 per cell]
S 0.346 0.790 0.555 [2 per cell]
S 0.384 0.815 0.170 [2 per cell]


Entry 8:
Zr3AuS5: theoretical PXRD pattern (Cu Kα (λ = 1.5418 Å)), based on a cell relaxed with PBE.
Peak positions follow from Bragg's law for the DFT cell and can differ from measured ones.

Principal peaks in the range 2θ = 5–70°, low angle first:
(hkl)	Position (°2θ)	intensity
1 0 1	21.25	100.0
0 0 2	27.10	22.0
1 1 0	28.55	30.2
1 1 1	31.68	46.2
1 0 2	31.82	24.9
2 0 0	33.08	54.1
2 0 2	43.27	84.5
2 1 1	46.46	27.1
3 0 1	52.61	22.8
2 2 0	59.09	20.2

Cell and atoms:
a b c (Å): 6.2540 6.2540 6.5814
angles (deg): 90.00 90.00 120.00
Space group P6/mmm (No. 191)
Symmetry-distinct sites (fractional):
Zr 0.0000 0.5000 0.0000 [3 per cell]
Au 0.0000 0.0000 0.5000 [1 per cell]
S 0.0000 0.0000 0.0000 [1 per cell]
S 0.3333 0.6667 0.2701 [4 per cell]